The following is a computed X-ray diffraction stick pattern of TiV2CrO10. It was derived from a DFT-relaxed cell (GGA+U, Alexandria), using Cu Kα (weighted mean of Kα1 and Kα2).
Neutral-atom scattering factors, no anomalous dispersion.

The 8 most intense peaks (2θ from 10° to 90°), low angle first:
19.59°, I = 80, (0 0 1)
23.78°, I = 38, (1 0 1)
26.86°, I = 100, (2 0 0)
33.47°, I = 59, (2 0 1)
43.42°, I = 20, (2 2 1)
45.63°, I = 13, (3 0 1)
55.36°, I = 21, (4 0 0)
66.26°, I = 13, (4 2 1)

```
TiV2CrO10
1.0
6.6378 0.0000 0.0000
0.0000 6.6378 0.0000
0.0000 0.0000 4.5311
Ti V Cr O
1 2 1 10
Direct
0.0000 0.0000 0.0000 Ti
0.0000 0.5000 0.1225 V
0.5000 0.0000 0.8775 V
0.5000 0.5000 0.0000 Cr
0.0000 0.2326 0.2216 O
0.0000 0.5000 0.7653 O
0.0000 0.7674 0.2216 O
0.2326 0.0000 0.7784 O
0.2956 0.5000 0.2127 O
0.5000 0.0000 0.2347 O
0.5000 0.2956 0.7873 O
0.5000 0.7044 0.7873 O
0.7044 0.5000 0.2127 O
0.7674 0.0000 0.7784 O
```